Starting from a structure optimized by DFT (PBE), the powder XRD pattern of Ho3CdIn2 was calculated for Cu Kα (weighted mean of Kα1 and Kα2).

Largest 10 diffraction maxima, low angle first, 2θ = 10–90°:
hkl 0 1 2, 2θ = 23.80°, I = 3.3
hkl 1 1 0, 2θ = 33.91°, I = 100.0
hkl 0 2 4, 2θ = 48.72°, I = 17.9
hkl 1 1 6, 2θ = 54.98°, I = 0.8
hkl 3 0 0, 2θ = 60.64°, I = 27.6
hkl 0 1 8, 2θ = 60.82°, I = 9.1
hkl 2 2 0, 2θ = 71.27°, I = 5.7
hkl 2 0 8, 2θ = 71.47°, I = 5.6
hkl 1 3 4, 2θ = 81.34°, I = 7.9
hkl 1 2 8, 2θ = 81.48°, I = 7.9

Structural model:
```
data_Ho3CdIn2
_space_group_name_H-M_alt 'P -3 m 1'
_space_group_IT_number 164
_space_group_name_Hall '-P 3 2"'
_cell_length_a 5.2929
_cell_length_b 5.2929
_cell_length_c 12.9180
_cell_angle_alpha 90.00
_cell_angle_beta 90.00
_cell_angle_gamma 120.00
loop_
_atom_site_label
_atom_site_type_symbol
_atom_site_fract_x
_atom_site_fract_y
_atom_site_fract_z
Ho1 Ho 0.0000 0.0000 0.2495
Ho2 Ho 0.3333 0.6667 0.4170
Ho3 Ho 0.3333 0.6667 0.9178
Cd1 Cd 0.3333 0.6667 0.1682
In1 In 0.0000 0.0000 0.0000
In2 In 0.0000 0.0000 0.5000
In3 In 0.3333 0.6667 0.6710
```